Record 1
# Sr5Ge2
Simulated powder diffractogram, a wavelength of 1.5418 Å. Input: a structure optimized by DFT (PBE).
Intensities are scaled so that the largest is 100.

Structural model:
abc: 9.627 9.627 8.212
angles: 95.58 95.58 45.35
Fractional positions:
Sr (0.061, 0.939, 0.750)
Sr (0.159, 0.280, 0.316)
Sr (0.280, 0.159, 0.816)
Sr (0.287, 0.532, 0.076)
Sr (0.468, 0.713, 0.424)
Sr (0.532, 0.287, 0.576)
Sr (0.713, 0.468, 0.924)
Sr (0.720, 0.841, 0.184)
Sr (0.841, 0.720, 0.684)
Sr (0.939, 0.061, 0.250)
Ge (0.116, 0.672, 0.437)
Ge (0.328, 0.884, 0.063)
Ge (0.672, 0.116, 0.937)
Ge (0.884, 0.328, 0.563)

The 12 most intense peaks (15° ≤ 2θ ≤ 90°), low angle first:
two_theta, intensity
24.94, 53.2
26.38, 46.3
27.97, 100.0
28.16, 33.4
28.70, 32.7
30.39, 53.7
31.05, 30.7
31.36, 35.7
31.49, 41.5
32.63, 52.5
34.96, 39.6
45.86, 39.0

Record 2
# SrGe
Simulated powder diffractogram, a wavelength of 1.5418 Å. Input: a structure optimized by DFT (PBE).
Intensities are scaled so that the largest is 100.

Structural model:
abc: 11.920 11.920 11.920
angles: 157.99 157.99 31.32
Fractional positions:
Sr (0.068, 0.318, 0.750)
Sr (0.318, 0.068, 0.250)
Sr (0.682, 0.932, 0.750)
Sr (0.932, 0.682, 0.250)
Ge (0.216, 0.466, 0.750)
Ge (0.466, 0.216, 0.250)
Ge (0.534, 0.784, 0.750)
Ge (0.784, 0.534, 0.250)

The 12 most intense peaks (15° ≤ 2θ ≤ 90°), low angle first:
two_theta, intensity
27.60, 25.1
28.81, 100.0
31.17, 19.1
33.69, 41.9
36.48, 80.4
39.61, 59.1
52.95, 22.6
55.85, 19.7
57.26, 19.7
65.35, 18.9
69.82, 23.3
70.62, 19.4

Record 3
# SrTc4Ge12
Simulated powder diffractogram, a wavelength of 1.5418 Å. Input: a structure optimized by DFT (PBE).
Intensities are scaled so that the largest is 100.

Structural model:
abc: 7.680 7.680 7.680
angles: 109.47 109.47 109.47
Fractional positions:
Sr (0.000, 0.000, 0.000)
Tc (0.000, 0.000, 0.500)
Tc (0.000, 0.500, 0.000)
Tc (0.500, 0.000, 0.000)
Tc (0.500, 0.500, 0.500)
Ge (0.168, 0.347, 0.514)
Ge (0.168, 0.653, 0.821)
Ge (0.179, 0.832, 0.347)
Ge (0.347, 0.179, 0.832)
Ge (0.347, 0.514, 0.168)
Ge (0.486, 0.832, 0.653)
Ge (0.514, 0.168, 0.347)
Ge (0.653, 0.486, 0.832)
Ge (0.653, 0.821, 0.168)
Ge (0.821, 0.168, 0.653)
Ge (0.832, 0.347, 0.179)
Ge (0.832, 0.653, 0.486)

The 12 most intense peaks (15° ≤ 2θ ≤ 90°), low angle first:
two_theta, intensity
20.02, 22.2
28.47, 20.3
31.91, 100.0
37.96, 41.7
45.75, 40.6
50.41, 49.7
52.62, 26.4
60.91, 9.9
66.70, 11.4
70.42, 8.7
72.25, 16.7
82.91, 8.5

Record 4
# Sr6Tl5Ge
Simulated powder diffractogram, a wavelength of 1.5418 Å. Input: a structure optimized by DFT (PBE).
Intensities are scaled so that the largest is 100.

Structural model:
abc: 5.744 8.067 9.141
angles: 90.00 108.39 90.00
Fractional positions:
Sr (0.000, 0.235, 0.000)
Sr (0.000, 0.765, 0.000)
Sr (0.341, 0.244, 0.681)
Sr (0.341, 0.756, 0.681)
Sr (0.659, 0.244, 0.319)
Sr (0.659, 0.756, 0.319)
Tl (0.169, 0.500, 0.339)
Tl (0.176, 0.000, 0.354)
Tl (0.500, 0.500, 0.000)
Tl (0.824, 0.000, 0.646)
Tl (0.831, 0.500, 0.661)
Ge (0.500, 0.000, 0.000)

The 12 most intense peaks (15° ≤ 2θ ≤ 90°), low angle first:
two_theta, intensity
21.81, 10.7
30.93, 19.6
31.19, 100.0
44.46, 14.5
44.95, 7.3
55.18, 14.3
55.45, 15.8
55.56, 7.4
55.69, 7.8
65.07, 9.2
73.64, 6.4
74.28, 6.5

Record 5
# Sr3ZnGe4
Simulated powder diffractogram, a wavelength of 1.5418 Å. Input: a structure optimized by DFT (PBE).
Intensities are scaled so that the largest is 100.

Structural model:
abc: 9.016 9.016 9.016
angles: 149.04 141.01 50.60
Fractional positions:
Sr (0.000, 0.000, 0.000)
Sr (0.306, 0.806, 0.500)
Sr (0.694, 0.194, 0.500)
Zn (0.500, 0.500, 0.000)
Ge (0.086, 0.383, 0.703)
Ge (0.320, 0.617, 0.703)
Ge (0.680, 0.383, 0.297)
Ge (0.914, 0.617, 0.297)

The 12 most intense peaks (15° ≤ 2θ ≤ 90°), low angle first:
two_theta, intensity
19.23, 27.8
26.11, 100.0
31.20, 21.0
32.40, 33.8
33.19, 66.9
35.62, 37.9
37.14, 45.2
37.37, 48.5
39.00, 35.0
50.55, 19.9
53.71, 30.6
68.47, 29.2

Record 6
# Sr2Zn5Ge
Simulated powder diffractogram, a wavelength of 1.5418 Å. Input: a structure optimized by DFT (PBE).
Intensities are scaled so that the largest is 100.

Structural model:
abc: 8.597 8.597 9.090
angles: 90.00 90.00 148.65
Fractional positions:
Sr (0.000, 0.000, 0.000)
Sr (0.000, 0.000, 0.500)
Sr (0.202, 0.798, 0.750)
Sr (0.798, 0.202, 0.250)
Zn (0.186, 0.814, 0.109)
Zn (0.186, 0.814, 0.391)
Zn (0.349, 0.651, 0.017)
Zn (0.349, 0.651, 0.483)
Zn (0.405, 0.595, 0.750)
Zn (0.595, 0.405, 0.250)
Zn (0.651, 0.349, 0.517)
Zn (0.651, 0.349, 0.983)
Zn (0.814, 0.186, 0.609)
Zn (0.814, 0.186, 0.891)
Ge (0.440, 0.560, 0.250)
Ge (0.560, 0.440, 0.750)

The 12 most intense peaks (15° ≤ 2θ ≤ 90°), low angle first:
two_theta, intensity
27.99, 26.3
31.97, 100.0
33.23, 88.9
35.79, 58.2
38.16, 39.5
38.77, 72.9
39.66, 18.1
44.41, 20.2
47.50, 27.8
55.53, 26.7
67.17, 18.2
68.70, 17.3

Record 7
# Sr3ZnGe
Simulated powder diffractogram, a wavelength of 1.5418 Å. Input: a structure optimized by DFT (PBE).
Intensities are scaled so that the largest is 100.

Structural model:
abc: 9.089 9.089 9.666
angles: 94.37 94.37 25.84
Fractional positions:
Sr (0.000, 0.000, 0.000)
Sr (0.150, 0.150, 0.589)
Sr (0.356, 0.356, 0.755)
Sr (0.507, 0.507, 0.344)
Sr (0.707, 0.707, 0.004)
Sr (0.800, 0.800, 0.341)
Zn (0.539, 0.539, 0.733)
Zn (0.967, 0.967, 0.611)
Ge (0.142, 0.142, 0.251)
Ge (0.365, 0.365, 0.093)

The 12 most intense peaks (15° ≤ 2θ ≤ 90°), low angle first:
two_theta, intensity
27.83, 100.0
28.46, 32.6
28.64, 14.2
28.93, 44.1
30.35, 36.0
31.89, 14.0
33.22, 48.5
33.61, 40.9
36.32, 41.2
39.89, 18.6
44.59, 26.5
54.90, 13.2

Record 8
# TbTaGe2
Simulated powder diffractogram, a wavelength of 1.5418 Å. Input: a structure optimized by DFT (PBE).
Intensities are scaled so that the largest is 100.

Structural model:
abc: 6.842 6.842 6.842
angles: 33.02 33.02 33.02
Fractional positions:
Tb (0.000, 0.000, 0.000)
Ta (0.500, 0.500, 0.500)
Ge (0.240, 0.240, 0.240)
Ge (0.760, 0.760, 0.760)

The 12 most intense peaks (15° ≤ 2θ ≤ 90°), low angle first:
two_theta, intensity
27.60, 8.1
28.05, 21.3
32.37, 100.0
46.14, 35.4
46.71, 36.8
55.12, 7.5
57.98, 18.9
67.76, 11.2
76.68, 14.4
77.53, 16.2
86.32, 11.9
86.73, 6.3